For FeSi16Ge12P3, the PBE geometry in OQMD gives the simulated X-ray powder pattern in this record (Cu Kα).

Structure:
```
data_FeSi16Ge12P3
_chemical_formula_sum 'Fe1 Si16 Ge12 P3'
_symmetry_space_group_name_H-M 'P 1'
_symmetry_Int_Tables_number 1
_cell_length_a 6.7586
_cell_length_b 10.2822
_cell_length_c 10.3515
_cell_angle_alpha 81.80
_cell_angle_beta 71.29
_cell_angle_gamma 83.86
loop_
_symmetry_equiv_pos_as_xyz
'x,y,z'
loop_
_atom_site_label
_atom_site_fract_x
_atom_site_fract_y
_atom_site_fract_z
Fe1 0.0000 0.0000 0.0000
Si1 0.0205 0.5048 0.4961
Si2 0.0269 0.8817 0.3633
Si3 0.0318 0.3819 0.8766
Si4 0.1470 0.5862 0.8887
Si5 0.1473 0.9672 0.7807
Si6 0.1476 0.4587 0.2682
Si7 0.1475 0.8501 0.1269
Si8 0.5162 0.8221 0.0629
Si9 0.5184 0.9407 0.6814
Si10 0.5197 0.0584 0.3044
Si11 0.5297 0.3169 0.5612
Si12 0.5317 0.6939 0.4309
Si13 0.6444 0.7792 0.8285
Si14 0.6505 0.5223 0.5713
Si15 0.6524 0.6545 0.1994
Si16 0.6526 0.8955 0.4489
Ge1 0.0215 0.7641 0.7512
Ge2 0.0293 0.6345 0.1242
Ge3 0.0320 0.2518 0.2444
Ge4 0.1411 0.1901 0.0073
Ge5 0.1493 0.3319 0.6409
Ge6 0.1522 0.7107 0.5113
Ge7 0.5232 0.4493 0.1877
Ge8 0.5230 0.5728 0.8074
Ge9 0.5259 0.1854 0.9428
Ge10 0.6448 0.2640 0.3286
Ge11 0.6585 0.1398 0.7007
Ge12 0.6581 0.3961 0.9504
P1 0.0360 0.1205 0.6258
P2 0.1542 0.0765 0.3861
P3 0.6581 0.0122 0.0784
```

Main lines, sorted by position (2θ from 15° to 90°):
two_theta  intensity  hkl
27.90  100  0 1 3
28.09  98  1 -2 2
46.25  24  -2 1 3
46.44  24  1 -1 5
46.59  68  3 -2 2
46.73  23  0 5 -1
55.03  20  -3 3 1
55.17  13  2 2 6
55.29  27  2 5 -1
55.38  14  0 6 2